Theoretical powder X-ray diffraction pattern
Compound: AcNdY5Ho2
Radiation: λ = 1.5418 Å (Cu Kα)
Structure: a structure optimized by DFT (PBE)
Neutral-atom scattering factors, no anomalous dispersion.

Peak list (10 most intense, 10° ≤ 2θ ≤ 90°, sorted by position)
two_theta, I/Imax
21.61, 39.7
27.18, 36.2
29.42, 63.7
31.13, 84.4
32.00, 74.0
32.26, 100.0
32.91, 65.4
44.02, 42.7
54.73, 26.5
56.47, 21.0

Structure:
Cell: 5.5946 23.7789 9.4262 Å, 90.00 90.00 90.00°
Space group Cmc2_1 (No. 36)
Symmetry-distinct sites (fractional):
Ac1 0.0000 0.1023 0.0000 x4
Nd1 0.0000 0.2626 0.3932 x4
Y1 0.0000 0.0250 0.6793 x4
Y2 0.0000 0.1029 0.3961 x4
Y3 0.0000 0.1896 0.6997 x4
Y4 0.0000 0.2422 0.0665 x4
Y5 0.0000 0.4931 0.9043 x4
Ho1 0.0000 0.3313 0.7552 x4
Ho2 0.0000 0.3871 0.1392 x4